Entry 1:
Theoretical powder diffractogram
Compound: Mg2MnTe
Radiation: Cu Kα (λ = 1.5418 Å)
Structure: a cell relaxed with PBE
No peak broadening, texture or thermal motion is included.

Crystal structure
a b c (Å): 3.7880 3.7575 5.9339
angles (deg): 90.00 90.07 90.00
Element x y z (fractional)
Mg (0.9998, 0.0000, 0.2358)
Mg (0.0002, 0.0000, 0.7642)
Mn (0.5000, 0.5000, 0.0000)
Te (0.5000, 0.5000, 0.5000)

Peak list (10 most intense, 15° ≤ 2θ ≤ 90°, in order of rising 2θ)
| d [Å] | I (rel.) |
| --- | --- |
| 3.788 | 38.7 |
| 3.757 | 38.0 |
| 2.967 | 20.8 |
| 2.668 | 100.0 |
| 2.336 | 67.5 |
| 2.329 | 66.9 |
| 1.984 | 25.7 |
| 1.469 | 29.8 |
| 1.464 | 29.4 |
| 1.297 | 18.8 |

Entry 2:
Theoretical powder diffractogram
Compound: Mg3MnTe4
Radiation: Cu Kα (λ = 1.5418 Å)
Structure: a cell relaxed with PBE
No peak broadening, texture or thermal motion is included.

Crystal structure
a b c (Å): 4.5777 4.5777 12.9144
angles (deg): 90.00 90.00 90.00
Element x y z (fractional)
Mg (0.0000, 0.0000, 0.0000)
Mg (0.5000, 0.5000, 0.2538)
Mg (0.5000, 0.5000, 0.7462)
Mn (0.0000, 0.0000, 0.5000)
Te (0.0000, 0.5000, 0.1269)
Te (0.0000, 0.5000, 0.6185)
Te (0.5000, 0.0000, 0.3815)
Te (0.5000, 0.0000, 0.8731)

Peak list (10 most intense, 15° ≤ 2θ ≤ 90°, in order of rising 2θ)
| d [Å] | I (rel.) |
| --- | --- |
| 3.734 | 100.0 |
| 3.234 | 25.4 |
| 2.287 | 59.1 |
| 1.950 | 48.4 |
| 1.867 | 7.1 |
| 1.618 | 6.6 |
| 1.484 | 19.5 |
| 1.321 | 13.0 |
| 1.245 | 10.9 |
| 1.094 | 10.0 |

Entry 3:
Theoretical powder diffractogram
Compound: Tm4Mg3Mn
Radiation: Cu Kα (λ = 1.5418 Å)
Structure: a cell relaxed with PBE
No peak broadening, texture or thermal motion is included.

Crystal structure
a b c (Å): 3.5106 3.5106 16.3406
angles (deg): 90.00 90.00 90.00
Element x y z (fractional)
Tm (0.0000, 0.0000, 0.1022)
Tm (0.0000, 0.0000, 0.3696)
Tm (0.0000, 0.0000, 0.6304)
Tm (0.0000, 0.0000, 0.8978)
Mg (0.5000, 0.5000, 0.2389)
Mg (0.5000, 0.5000, 0.5000)
Mg (0.5000, 0.5000, 0.7611)
Mn (0.5000, 0.5000, 0.0000)

Peak list (10 most intense, 15° ≤ 2θ ≤ 90°, in order of rising 2θ)
| d [Å] | I (rel.) |
| --- | --- |
| 4.085 | 30.8 |
| 3.511 | 52.9 |
| 2.663 | 100.0 |
| 2.482 | 47.8 |
| 2.121 | 22.1 |
| 1.755 | 16.8 |
| 1.613 | 9.8 |
| 1.577 | 12.5 |
| 1.570 | 10.8 |
| 1.465 | 32.8 |

Entry 4:
Theoretical powder diffractogram
Compound: Mg14MnV
Radiation: Cu Kα (λ = 1.5418 Å)
Structure: a cell relaxed with PBE
No peak broadening, texture or thermal motion is included.

Crystal structure
a b c (Å): 6.2927 6.2927 10.0476
angles (deg): 90.00 90.00 120.00
Element x y z (fractional)
Mg (0.0000, 0.0000, 0.2494)
Mg (0.0000, 0.0000, 0.7506)
Mg (0.0106, 0.5053, 0.2483)
Mg (0.0106, 0.5053, 0.7517)
Mg (0.3343, 0.1672, 0.0000)
Mg (0.3354, 0.1677, 0.5000)
Mg (0.4947, 0.5053, 0.2483)
Mg (0.4947, 0.5053, 0.7517)
Mg (0.4947, 0.9894, 0.2483)
Mg (0.4947, 0.9894, 0.7517)
Mg (0.8323, 0.1677, 0.5000)
Mg (0.8323, 0.6646, 0.5000)
Mg (0.8328, 0.1672, 0.0000)
Mg (0.8328, 0.6657, 0.0000)
Mn (0.3333, 0.6667, 0.0000)
V (0.3333, 0.6667, 0.5000)

Peak list (10 most intense, 15° ≤ 2θ ≤ 90°, in order of rising 2θ)
| d [Å] | I (rel.) |
| --- | --- |
| 5.450 | 9.9 |
| 3.694 | 5.0 |
| 2.725 | 25.2 |
| 2.512 | 25.5 |
| 2.395 | 100.0 |
| 1.847 | 15.2 |
| 1.573 | 16.7 |
| 1.427 | 17.8 |
| 1.333 | 18.3 |
| 1.315 | 13.1 |

Entry 5:
Theoretical powder diffractogram
Compound: Mg14MnV
Radiation: Cu Kα (λ = 1.5418 Å)
Structure: a cell relaxed with PBE
No peak broadening, texture or thermal motion is included.

Crystal structure
a b c (Å): 10.1036 6.2764 6.2764
angles (deg): 60.26 90.00 90.00
Element x y z (fractional)
Mg (0.0000, 0.9999, 0.9999)
Mg (0.0000, 0.4986, 0.9983)
Mg (0.0000, 0.5000, 0.5000)
Mg (0.0000, 0.9983, 0.4986)
Mg (0.2556, 0.3348, 0.3348)
Mg (0.2567, 0.8350, 0.8350)
Mg (0.2642, 0.3282, 0.8287)
Mg (0.2642, 0.8287, 0.3282)
Mg (0.5000, 0.9999, 0.4983)
Mg (0.5000, 0.4983, 0.9999)
Mg (0.7358, 0.3282, 0.8287)
Mg (0.7358, 0.8287, 0.3282)
Mg (0.7433, 0.8350, 0.8350)
Mg (0.7444, 0.3348, 0.3348)
Mn (0.5000, 0.9985, 0.9985)
V (0.5000, 0.4981, 0.4981)

Peak list (10 most intense, 15° ≤ 2θ ≤ 90°, in order of rising 2θ)
| d [Å] | I (rel.) |
| --- | --- |
| 2.725 | 25.0 |
| 2.714 | 12.7 |
| 2.526 | 37.6 |
| 2.398 | 100.0 |
| 2.391 | 49.0 |
| 1.851 | 22.5 |
| 1.569 | 16.6 |
| 1.432 | 25.2 |
| 1.333 | 17.7 |
| 1.315 | 13.0 |

Entry 6:
Theoretical powder diffractogram
Compound: YMg2Mn2
Radiation: Cu Kα (λ = 1.5418 Å)
Structure: a cell relaxed with PBE
No peak broadening, texture or thermal motion is included.

Crystal structure
a b c (Å): 4.1409 4.1409 12.2856
angles (deg): 90.00 90.00 90.00
Element x y z (fractional)
Y (0.0000, 0.0000, 0.0000)
Y (0.5000, 0.5000, 0.5000)
Mg (0.0000, 0.5000, 0.2500)
Mg (0.0000, 0.5000, 0.7500)
Mg (0.5000, 0.0000, 0.2500)
Mg (0.5000, 0.0000, 0.7500)
Mn (0.0000, 0.0000, 0.4045)
Mn (0.0000, 0.0000, 0.5955)
Mn (0.5000, 0.5000, 0.0955)
Mn (0.5000, 0.5000, 0.9045)

Peak list (10 most intense, 15° ≤ 2θ ≤ 90°, in order of rising 2θ)
| d [Å] | I (rel.) |
| --- | --- |
| 2.928 | 45.9 |
| 2.912 | 53.0 |
| 2.643 | 100.0 |
| 2.113 | 62.0 |
| 2.070 | 46.3 |
| 1.687 | 19.9 |
| 1.616 | 13.3 |
| 1.479 | 36.7 |
| 1.464 | 14.2 |
| 1.281 | 18.5 |

Entry 7:
Theoretical powder diffractogram
Compound: Y2MgMn
Radiation: Cu Kα (λ = 1.5418 Å)
Structure: a cell relaxed with PBE
No peak broadening, texture or thermal motion is included.

Crystal structure
a b c (Å): 5.1943 5.1943 3.7081
angles (deg): 90.00 90.00 90.00
Element x y z (fractional)
Y (0.0000, 0.5000, 0.0000)
Y (0.5000, 0.0000, 0.0000)
Mg (0.0000, 0.0000, 0.5000)
Mn (0.5000, 0.5000, 0.5000)

Peak list (10 most intense, 15° ≤ 2θ ≤ 90°, in order of rising 2θ)
| d [Å] | I (rel.) |
| --- | --- |
| 3.708 | 9.1 |
| 3.673 | 17.8 |
| 2.609 | 100.0 |
| 2.597 | 49.3 |
| 1.854 | 8.7 |
| 1.836 | 16.9 |
| 1.509 | 17.3 |
| 1.502 | 34.0 |
| 1.305 | 10.3 |
| 1.162 | 14.1 |

Entry 8:
Theoretical powder diffractogram
Compound: Mg14MnZn
Radiation: Cu Kα (λ = 1.5418 Å)
Structure: a cell relaxed with PBE
No peak broadening, texture or thermal motion is included.

Crystal structure
a b c (Å): 6.2528 6.2528 10.1209
angles (deg): 90.00 90.00 120.00
Element x y z (fractional)
Mg (0.0000, 0.0000, 0.2476)
Mg (0.0000, 0.0000, 0.7524)
Mg (0.0093, 0.5046, 0.2461)
Mg (0.0093, 0.5046, 0.7539)
Mg (0.3330, 0.1665, 0.5000)
Mg (0.3347, 0.1674, 0.0000)
Mg (0.4954, 0.5046, 0.2461)
Mg (0.4954, 0.5046, 0.7539)
Mg (0.4954, 0.9907, 0.2461)
Mg (0.4954, 0.9907, 0.7539)
Mg (0.8326, 0.1674, 0.0000)
Mg (0.8335, 0.1665, 0.5000)
Mg (0.8326, 0.6653, 0.0000)
Mg (0.8335, 0.6670, 0.5000)
Mn (0.3333, 0.6667, 0.0000)
Zn (0.3333, 0.6667, 0.5000)

Peak list (10 most intense, 15° ≤ 2θ ≤ 90°, in order of rising 2θ)
| d [Å] | I (rel.) |
| --- | --- |
| 5.415 | 14.8 |
| 3.697 | 9.2 |
| 2.708 | 25.6 |
| 2.530 | 26.1 |
| 2.387 | 100.0 |
| 1.849 | 15.9 |
| 1.563 | 16.6 |
| 1.432 | 18.2 |
| 1.330 | 18.4 |
| 1.308 | 13.1 |

Entry 9:
Theoretical powder diffractogram
Compound: Mg14MnZn
Radiation: Cu Kα (λ = 1.5418 Å)
Structure: a cell relaxed with PBE
No peak broadening, texture or thermal motion is included.

Crystal structure
a b c (Å): 10.1400 6.2428 6.2428
angles (deg): 60.26 90.00 90.00
Element x y z (fractional)
Mg (0.0000, 0.0000, 0.0000)
Mg (0.0000, 0.4978, 0.9976)
Mg (0.0000, 0.4998, 0.4998)
Mg (0.0000, 0.9976, 0.4978)
Mg (0.2542, 0.3324, 0.3324)
Mg (0.2552, 0.8340, 0.8340)
Mg (0.2663, 0.3264, 0.8295)
Mg (0.2663, 0.8295, 0.3264)
Mg (0.5000, 0.0023, 0.5050)
Mg (0.5000, 0.5050, 0.0023)
Mg (0.7337, 0.3264, 0.8295)
Mg (0.7337, 0.8295, 0.3264)
Mg (0.7448, 0.8340, 0.8340)
Mg (0.7458, 0.3324, 0.3324)
Mn (0.5000, 0.9968, 0.9968)
Zn (0.5000, 0.4986, 0.4986)

Peak list (10 most intense, 15° ≤ 2θ ≤ 90°, in order of rising 2θ)
| d [Å] | I (rel.) |
| --- | --- |
| 2.710 | 24.5 |
| 2.700 | 13.5 |
| 2.535 | 37.7 |
| 2.390 | 100.0 |
| 2.383 | 47.4 |
| 1.850 | 23.2 |
| 1.561 | 16.3 |
| 1.434 | 25.3 |
| 1.329 | 17.5 |
| 1.309 | 12.6 |

Entry 10:
Theoretical powder diffractogram
Compound: MgZr2Mn
Radiation: Cu Kα (λ = 1.5418 Å)
Structure: a cell relaxed with PBE
No peak broadening, texture or thermal motion is included.

Crystal structure
a b c (Å): 4.1969 4.1969 9.0827
angles (deg): 90.00 90.00 90.00
Element x y z (fractional)
Mg (0.0000, 0.0000, 0.0000)
Mg (0.5000, 0.5000, 0.5000)
Zr (0.0000, 0.0000, 0.5000)
Zr (0.0000, 0.5000, 0.2500)
Zr (0.5000, 0.0000, 0.7500)
Zr (0.5000, 0.5000, 0.0000)
Mn (0.0000, 0.5000, 0.7500)
Mn (0.5000, 0.0000, 0.2500)

Peak list (10 most intense, 15° ≤ 2θ ≤ 90°, in order of rising 2θ)
| d [Å] | I (rel.) |
| --- | --- |
| 3.810 | 25.9 |
| 2.484 | 100.0 |
| 2.455 | 7.9 |
| 2.271 | 19.1 |
| 2.098 | 30.0 |
| 1.541 | 21.5 |
| 1.484 | 9.4 |
| 1.348 | 13.4 |
| 1.274 | 22.0 |
| 1.242 | 10.1 |

Entry 11:
Theoretical powder diffractogram
Compound: Mg2Mo
Radiation: Cu Kα (λ = 1.5418 Å)
Structure: a cell relaxed with PBE
No peak broadening, texture or thermal motion is included.

Crystal structure
a b c (Å): 11.1863 2.8064 7.2749
angles (deg): 90.00 104.67 90.00
Element x y z (fractional)
Mg (0.0000, 0.0000, 0.0000)
Mg (0.0563, 0.0000, 0.6217)
Mg (0.2328, 0.5000, 0.9579)
Mg (0.3950, 0.0000, 0.3007)
Mg (0.5000, 0.5000, 0.0000)
Mg (0.5563, 0.5000, 0.6217)
Mg (0.7328, 0.0000, 0.9579)
Mg (0.8950, 0.5000, 0.3007)
Mo (0.1723, 0.5000, 0.3434)
Mo (0.3213, 0.0000, 0.6561)
Mo (0.6723, 0.0000, 0.3434)
Mo (0.8213, 0.5000, 0.6561)

Peak list (10 most intense, 15° ≤ 2θ ≤ 90°, in order of rising 2θ)
| d [Å] | I (rel.) |
| --- | --- |
| 5.411 | 30.4 |
| 4.936 | 63.8 |
| 2.658 | 17.9 |
| 2.482 | 44.4 |
| 2.468 | 45.8 |
| 2.346 | 34.7 |
| 2.335 | 33.3 |
| 2.217 | 100.0 |
| 1.752 | 14.9 |
| 1.498 | 16.2 |

Entry 12:
Theoretical powder diffractogram
Compound: SrMg2MoN4
Radiation: Cu Kα (λ = 1.5418 Å)
Structure: a cell relaxed with PBE
No peak broadening, texture or thermal motion is included.

Crystal structure
a b c (Å): 7.4643 5.8272 5.5218
angles (deg): 90.00 90.00 90.00
Element x y z (fractional)
Sr (0.0000, 0.1753, 0.0000)
Sr (0.5000, 0.8247, 0.5000)
Mg (0.2465, 0.3303, 0.5161)
Mg (0.2535, 0.6697, 0.0161)
Mg (0.7465, 0.6697, 0.0161)
Mg (0.7535, 0.3303, 0.5161)
Mo (0.0000, 0.8043, 0.5237)
Mo (0.5000, 0.1957, 0.0237)
N (0.0000, 0.1304, 0.4766)
N (0.0000, 0.7580, 0.8609)
N (0.2026, 0.6647, 0.3904)
N (0.2974, 0.3353, 0.8904)
N (0.5000, 0.2420, 0.3609)
N (0.5000, 0.8696, 0.9766)
N (0.7026, 0.3353, 0.8904)
N (0.7974, 0.6647, 0.3904)

Peak list (10 most intense, 15° ≤ 2θ ≤ 90°, in order of rising 2θ)
| d [Å] | I (rel.) |
| --- | --- |
| 4.008 | 60.4 |
| 3.732 | 31.9 |
| 3.143 | 30.8 |
| 2.914 | 29.4 |
| 2.761 | 46.2 |
| 2.731 | 100.0 |
| 2.577 | 26.4 |
| 1.723 | 22.3 |
| 1.588 | 32.0 |
| 1.462 | 21.2 |

Entry 13:
Theoretical powder diffractogram
Compound: MgTiNbMo
Radiation: Cu Kα (λ = 1.5418 Å)
Structure: a cell relaxed with PBE
No peak broadening, texture or thermal motion is included.

Crystal structure
a b c (Å): 6.5198 6.5198 6.5198
angles (deg): 90.00 90.00 90.00
Element x y z (fractional)
Mg (0.0000, 0.0000, 0.0000)
Mg (0.0000, 0.5000, 0.5000)
Mg (0.5000, 0.0000, 0.5000)
Mg (0.5000, 0.5000, 0.0000)
Ti (0.2500, 0.2500, 0.7500)
Ti (0.2500, 0.7500, 0.2500)
Ti (0.7500, 0.2500, 0.2500)
Ti (0.7500, 0.7500, 0.7500)
Nb (0.2500, 0.2500, 0.2500)
Nb (0.2500, 0.7500, 0.7500)
Nb (0.7500, 0.2500, 0.7500)
Nb (0.7500, 0.7500, 0.2500)
Mo (0.0000, 0.0000, 0.5000)
Mo (0.0000, 0.5000, 0.0000)
Mo (0.5000, 0.0000, 0.0000)
Mo (0.5000, 0.5000, 0.5000)

Peak list (10 most intense, 15° ≤ 2θ ≤ 90°, in order of rising 2θ)
| d [Å] | I (rel.) |
| --- | --- |
| 3.764 | 26.7 |
| 3.260 | 0.7 |
| 2.305 | 100.0 |
| 1.966 | 13.2 |
| 1.630 | 16.3 |
| 1.496 | 5.4 |
| 1.331 | 32.2 |
| 1.255 | 4.1 |
| 1.153 | 10.1 |
| 1.102 | 4.4 |

Entry 14:
Theoretical powder diffractogram
Compound: Mg14NiMo
Radiation: Cu Kα (λ = 1.5418 Å)
Structure: a cell relaxed with PBE
No peak broadening, texture or thermal motion is included.

Crystal structure
a b c (Å): 6.1899 6.1899 9.8104
angles (deg): 90.00 90.00 120.00
Element x y z (fractional)
Mg (0.0000, 0.0000, 0.2478)
Mg (0.0000, 0.0000, 0.7522)
Mg (0.0202, 0.5101, 0.2536)
Mg (0.0202, 0.5101, 0.7464)
Mg (0.3322, 0.1661, 0.5000)
Mg (0.3374, 0.1687, 0.0000)
Mg (0.4899, 0.5101, 0.2536)
Mg (0.4899, 0.5101, 0.7464)
Mg (0.4899, 0.9798, 0.2536)
Mg (0.4899, 0.9798, 0.7464)
Mg (0.8313, 0.1687, 0.0000)
Mg (0.8313, 0.6626, 0.0000)
Mg (0.8339, 0.1661, 0.5000)
Mg (0.8339, 0.6678, 0.5000)
Ni (0.3333, 0.6667, 0.5000)
Mo (0.3333, 0.6667, 0.0000)

Peak list (10 most intense, 15° ≤ 2θ ≤ 90°, in order of rising 2θ)
| d [Å] | I (rel.) |
| --- | --- |
| 5.361 | 30.4 |
| 3.619 | 15.8 |
| 2.680 | 27.5 |
| 2.453 | 25.0 |
| 2.352 | 100.0 |
| 1.809 | 16.4 |
| 1.547 | 16.5 |
| 1.396 | 17.6 |
| 1.309 | 18.1 |
| 1.293 | 13.1 |